No. 1
Na2UAuSe4: simulated powder XRD pattern (a wavelength of 1.5418 Å), based on a cell relaxed with GGA-PBE.
Kinematic intensities with the Lorentz-polarization factor, no thermal factor.

Peak list (10 most intense, 2θ = 5–70°, by angle)
- hkl 1 1 0, 2θ = 16.92°, d = 5.240 Å, I = 96
- hkl 2 1 1, 2θ = 29.99°, d = 2.979 Å, I = 21
- hkl 1 1 2, 2θ = 31.34°, d = 2.854 Å, I = 32
- hkl 2 2 0, 2θ = 34.23°, d = 2.620 Å, I = 49
- hkl 2 0 2, 2θ = 35.83°, d = 2.506 Å, I = 100
- hkl 3 1 0, 2θ = 38.42°, d = 2.343 Å, I = 14
- hkl 3 1 2, 2θ = 47.09°, d = 1.930 Å, I = 37
- hkl 4 0 0, 2θ = 49.18°, d = 1.852 Å, I = 12
- hkl 4 2 2, 2θ = 62.33°, d = 1.490 Å, I = 23
- hkl 2 2 4, 2θ = 65.40°, d = 1.427 Å, I = 15

Crystal structure
a = 7.410 Å, b = 7.410 Å, c = 6.806 Å
α = 90.00°, β = 90.00°, γ = 90.00°
Space group I-42m (No. 121)
Asymmetric unit:
Na1 0.000 0.500 0.000 x4
U1 0.000 0.000 0.000 x2
Au1 0.000 0.000 0.500 x2
Se1 0.199 0.199 0.256 x8



No. 2
Al4CdO7: simulated powder XRD pattern (a wavelength of 1.5418 Å), based on a cell relaxed with GGA-PBE.
Kinematic intensities with the Lorentz-polarization factor, no thermal factor.

Peak list (10 most intense, 2θ = 5–70°, by angle)
- hkl 1 0 1, 2θ = 18.56°, d = 4.779 Å, I = 100
- hkl 0 1 1, 2θ = 23.94°, d = 3.717 Å, I = 24
- hkl 3 1 0, 2θ = 26.17°, d = 3.406 Å, I = 27
- hkl 3 0 1, 2θ = 26.73°, d = 3.336 Å, I = 14
- hkl 2 1 1, 2θ = 27.55°, d = 3.237 Å, I = 12
- hkl 4 1 0, 2θ = 31.84°, d = 2.811 Å, I = 21
- hkl 0 0 2, 2θ = 34.99°, d = 2.564 Å, I = 18
- hkl 0 2 1, 2θ = 37.66°, d = 2.388 Å, I = 14
- hkl 5 0 1, 2θ = 38.38°, d = 2.345 Å, I = 14
- hkl 3 3 1, 2θ = 58.31°, d = 1.583 Å, I = 12

Crystal structure
a = 13.173 Å, b = 5.395 Å, c = 5.129 Å
α = 90.00°, β = 90.00°, γ = 90.00°
Space group Pmn2_1 (No. 31)
Asymmetric unit:
Al1 0.124 0.169 0.000 x4
Al2 0.249 0.341 0.486 x4
Cd1 0.000 0.655 0.861 x2
O1 0.000 0.255 0.898 x2
O2 0.141 0.847 0.937 x4
O3 0.144 0.238 0.322 x4
O4 0.213 0.370 0.826 x4



No. 3
La6PmDy8: simulated powder XRD pattern (a wavelength of 1.5418 Å), based on a cell relaxed with GGA-PBE.
Kinematic intensities with the Lorentz-polarization factor, no thermal factor.

Peak list (10 most intense, 2θ = 5–70°, by angle)
- hkl 3 -1 1, 2θ = 30.12°, d = 2.967 Å, I = 53
- hkl 2 0 5, 2θ = 30.84°, d = 2.899 Å, I = 77
- hkl 3 -2 2, 2θ = 31.01°, d = 2.884 Å, I = 100
- hkl 1 0 7, 2θ = 31.55°, d = 2.836 Å, I = 56
- hkl 1 1 6, 2θ = 31.94°, d = 2.802 Å, I = 21
- hkl 2 1 4, 2θ = 34.36°, d = 2.610 Å, I = 14
- hkl 0 3 3, 2θ = 36.28°, d = 2.476 Å, I = 25
- hkl 0 3 9, 2θ = 51.92°, d = 1.761 Å, I = 16
- hkl 5 -1 3, 2θ = 54.61°, d = 1.681 Å, I = 19
- hkl 5 -2 7, 2θ = 59.22°, d = 1.560 Å, I = 17

Crystal structure
a = 9.1543 Å, b = 9.1543 Å, c = 21.2570 Å
α = 90.00°, β = 90.00°, γ = 120.00°
Space group R-3 (No. 148, hexagonal axes)
Asymmetric unit:
La1 0.0539 0.2470 0.2126 x18
Pm1 0.0000 0.0000 0.5000 x3
Dy1 0.0000 0.0000 0.0766 x6
Dy2 0.0799 0.5671 0.3063 x18



No. 4
Y3Tl: simulated powder XRD pattern (a wavelength of 1.5418 Å), based on a cell relaxed with GGA-PBE.
Kinematic intensities with the Lorentz-polarization factor, no thermal factor.

Peak list (10 most intense, 2θ = 5–70°, by angle)
- hkl 0 0 1, 2θ = 7.52°, d = 11.760 Å, I = 31
- hkl 0 0 4, 2θ = 30.40°, d = 2.940 Å, I = 23
- hkl 2 0 0, 2θ = 32.68°, d = 2.740 Å, I = 28
- hkl 1 1 2, 2θ = 32.81°, d = 2.730 Å, I = 100
- hkl 1 0 4, 2θ = 34.62°, d = 2.591 Å, I = 11
- hkl 2 0 4, 2θ = 45.24°, d = 2.005 Å, I = 15
- hkl 0 2 0, 2θ = 48.88°, d = 1.863 Å, I = 9
- hkl 1 1 6, 2θ = 55.57°, d = 1.654 Å, I = 9
- hkl 3 1 2, 2θ = 58.41°, d = 1.580 Å, I = 19
- hkl 2 2 0, 2θ = 60.04°, d = 1.541 Å, I = 10

Crystal structure
a = 5.481 Å, b = 3.727 Å, c = 11.760 Å
α = 90.00°, β = 90.00°, γ = 90.00°
Space group Pmma (No. 51)
Asymmetric unit:
Y1 0.250 0.000 0.095 x2
Y2 0.250 0.500 0.374 x2
Y3 0.250 0.500 0.834 x2
Tl1 0.250 0.000 0.609 x2



No. 5
LaSnF7: simulated powder XRD pattern (a wavelength of 1.5418 Å), based on a cell relaxed with GGA-PBE.
Kinematic intensities with the Lorentz-polarization factor, no thermal factor.

Peak list (10 most intense, 2θ = 5–70°, by angle)
- hkl 1 1 -2, 2θ = 20.94°, d = 4.242 Å, I = 100
- hkl 2 0 0, 2θ = 21.42°, d = 4.148 Å, I = 40
- hkl 0 1 2, 2θ = 22.02°, d = 4.037 Å, I = 13
- hkl 2 1 -2, 2θ = 25.01°, d = 3.561 Å, I = 17
- hkl 2 1 0, 2θ = 26.31°, d = 3.387 Å, I = 12
- hkl 1 1 2, 2θ = 27.67°, d = 3.224 Å, I = 30
- hkl 0 2 0, 2θ = 30.47°, d = 2.934 Å, I = 14
- hkl 1 2 -4, 2θ = 42.33°, d = 2.135 Å, I = 15
- hkl 2 1 -6, 2θ = 45.93°, d = 1.976 Å, I = 15
- hkl 1 3 -2, 2θ = 48.87°, d = 1.864 Å, I = 12

Crystal structure
a = 9.391 Å, b = 5.868 Å, c = 12.593 Å
α = 90.00°, β = 117.95°, γ = 90.00°
Space group P2_1/c (No. 14)
Asymmetric unit:
La1 0.190 0.242 0.265 x4
Sn1 0.274 0.744 0.043 x4
F1 0.030 0.584 0.732 x4
F2 0.034 0.740 0.948 x4
F3 0.257 0.548 0.167 x4
F4 0.269 0.016 0.137 x4
F5 0.285 0.037 0.456 x4
F6 0.291 0.553 0.422 x4
F7 0.487 0.234 0.361 x4



No. 6
K2Hf3AgO8: simulated powder XRD pattern (a wavelength of 1.5418 Å), based on a cell relaxed with GGA-PBE.
Kinematic intensities with the Lorentz-polarization factor, no thermal factor.

Peak list (10 most intense, 2θ = 5–70°, by angle)
- hkl 0 0 3, 2θ = 13.54°, d = 6.542 Å, I = 100
- hkl 1 0 4, 2θ = 24.06°, d = 3.699 Å, I = 14
- hkl 0 1 5, 2θ = 27.70°, d = 3.220 Å, I = 19
- hkl 1 1 3, 2θ = 30.71°, d = 2.911 Å, I = 15
- hkl 0 2 1, 2θ = 32.12°, d = 2.787 Å, I = 43
- hkl 2 0 2, 2θ = 33.10°, d = 2.706 Å, I = 30
- hkl 0 2 4, 2θ = 36.81°, d = 2.442 Å, I = 33
- hkl 0 2 7, 2θ = 45.67°, d = 1.987 Å, I = 13
- hkl 2 2 0, 2θ = 56.61°, d = 1.626 Å, I = 19
- hkl 2 2 3, 2θ = 58.51°, d = 1.577 Å, I = 13

Crystal structure
a = 6.5019 Å, b = 6.5019 Å, c = 19.6254 Å
α = 90.00°, β = 90.00°, γ = 120.00°
Space group R3m (No. 160, hexagonal axes)
Asymmetric unit:
K1 0.0000 0.0000 0.0000 x3
K2 0.0000 0.0000 0.3624 x3
Hf1 0.1688 0.3375 0.8295 x9
Ag1 0.0000 0.0000 0.5655 x3
O1 0.0000 0.0000 0.2203 x3
O2 0.0000 0.0000 0.7788 x3
O3 0.0319 0.5159 0.7788 x9
O4 0.1887 0.3774 0.5575 x9